Computed PXRD pattern of ErCoNi2Ge2 for Cu Kα X-rays, from a DFT-relaxed cell (GGA-PBE, Alexandria).
Lines closer than 0.1° are merged.

Top 10 peaks for 10 to 90 degrees two-theta, low angle first:
- 20.1 deg, intensity 11
- 26.7 deg, intensity 11
- 28.6 deg, intensity 22
- 33.7 deg, intensity 45
- 40.9 deg, intensity 100
- 55.1 deg, intensity 10
- 59.2 deg, intensity 48
- 69.9 deg, intensity 11
- 74.5 deg, intensity 12
- 88.7 deg, intensity 26

Atomic structure:
a = 4.413 Å, b = 4.413 Å, c = 5.091 Å
α = 90.00°, β = 90.00°, γ = 90.00°
Sites, in units of the cell vectors:
Er 0.000 0.000 0.000
Co 0.000 0.000 0.500
Ni 0.500 0.500 0.241
Ni 0.500 0.500 0.759
Ge 0.000 0.500 0.500
Ge 0.500 0.000 0.500

***

Computed PXRD pattern of Cs3BaSr2I9 for Cu Kα X-rays, from a DFT-relaxed cell (GGA-PBE, Alexandria).
Lines closer than 0.1° are merged.

Top 10 peaks for 10 to 90 degrees two-theta, low angle first:
- 13.4 deg, intensity 18
- 22.7 deg, intensity 17
- 23.6 deg, intensity 65
- 27.1 deg, intensity 100
- 38.1 deg, intensity 29
- 39.2 deg, intensity 39
- 45.8 deg, intensity 15
- 46.3 deg, intensity 10
- 48.3 deg, intensity 20
- 63.9 deg, intensity 17

Atomic structure:
a = 9.191 Å, b = 9.191 Å, c = 11.727 Å
α = 90.00°, β = 90.00°, γ = 120.00°
Sites, in units of the cell vectors:
Cs 0.000 0.000 0.000
Cs 0.333 0.667 0.727
Cs 0.667 0.333 0.273
Ba 0.000 0.000 0.500
Sr 0.333 0.667 0.165
Sr 0.667 0.333 0.835
I 0.000 0.500 0.000
I 0.164 0.328 0.314
I 0.164 0.836 0.314
I 0.328 0.164 0.686
I 0.500 0.000 0.000
I 0.500 0.500 0.000
I 0.672 0.836 0.314
I 0.836 0.164 0.686
I 0.836 0.672 0.686

***

Computed PXRD pattern of PmEr4Al5 for Cu Kα X-rays, from a DFT-relaxed cell (GGA-PBE, Alexandria).
Lines closer than 0.1° are merged.

Top 10 peaks for 10 to 90 degrees two-theta, low angle first:
- 24.7 deg, intensity 21
- 24.8 deg, intensity 42
- 35.3 deg, intensity 100
- 43.6 deg, intensity 19
- 50.9 deg, intensity 12
- 57.2 deg, intensity 8
- 57.4 deg, intensity 17
- 63.3 deg, intensity 12
- 63.5 deg, intensity 24
- 85.6 deg, intensity 11

Atomic structure:
a = 3.586 Å, b = 3.586 Å, c = 18.026 Å
α = 90.00°, β = 90.00°, γ = 90.00°
Sites, in units of the cell vectors:
Pm 0.000 0.000 0.000
Er 0.000 0.000 0.206
Er 0.000 0.000 0.402
Er 0.000 0.000 0.598
Er 0.000 0.000 0.794
Al 0.500 0.500 0.109
Al 0.500 0.500 0.304
Al 0.500 0.500 0.500
Al 0.500 0.500 0.696
Al 0.500 0.500 0.891

***

Computed PXRD pattern of Na4TaS5 for Cu Kα X-rays, from a DFT-relaxed cell (GGA-PBE, Alexandria).
Lines closer than 0.1° are merged.

Top 10 peaks for 10 to 90 degrees two-theta, low angle first:
- 14.2 deg, intensity 91
- 18.0 deg, intensity 100
- 20.2 deg, intensity 31
- 27.2 deg, intensity 47
- 30.1 deg, intensity 32
- 32.1 deg, intensity 68
- 44.6 deg, intensity 42
- 46.1 deg, intensity 27
- 51.7 deg, intensity 25
- 56.1 deg, intensity 27

Atomic structure:
a = 6.899 Å, b = 6.899 Å, c = 6.899 Å
α = 100.64°, β = 100.64°, γ = 129.10°
Sites, in units of the cell vectors:
Na 0.090 0.700 0.789
Na 0.300 0.090 0.390
Na 0.700 0.910 0.610
Na 0.910 0.300 0.211
Ta 0.417 0.417 0.000
S 0.033 0.033 0.000
S 0.256 0.430 0.665
S 0.430 0.765 0.174
S 0.590 0.256 0.826
S 0.765 0.590 0.335

***

Computed PXRD pattern of Cs2TiMoCl6 for Cu Kα X-rays, from a DFT-relaxed cell (GGA-PBE, Alexandria).
Lines closer than 0.1° are merged.

Top 10 peaks for 10 to 90 degrees two-theta, low angle first:
- 24.1 deg, intensity 100
- 29.7 deg, intensity 39
- 34.3 deg, intensity 46
- 34.6 deg, intensity 23
- 42.4 deg, intensity 30
- 42.6 deg, intensity 15
- 49.3 deg, intensity 15
- 49.5 deg, intensity 30
- 55.6 deg, intensity 14
- 61.6 deg, intensity 15

Atomic structure:
a = 7.369 Å, b = 7.369 Å, c = 7.369 Å
α = 119.73°, β = 119.73°, γ = 90.46°
Sites, in units of the cell vectors:
Cs 0.250 0.750 0.500
Cs 0.750 0.250 0.500
Ti 0.000 0.000 0.000
Mo 0.500 0.500 0.000
Cl 0.241 0.241 0.483
Cl 0.241 0.759 0.000
Cl 0.249 0.249 0.000
Cl 0.751 0.751 0.000
Cl 0.759 0.241 0.000
Cl 0.759 0.759 0.517

***

Computed PXRD pattern of K3Tm3RuO8 for Cu Kα X-rays, from a DFT-relaxed cell (GGA-PBE, Alexandria).
Lines closer than 0.1° are merged.

Top 10 peaks for 10 to 90 degrees two-theta, low angle first:
- 14.1 deg, intensity 100
- 28.5 deg, intensity 27
- 31.4 deg, intensity 32
- 32.5 deg, intensity 50
- 36.6 deg, intensity 69
- 46.2 deg, intensity 19
- 50.1 deg, intensity 23
- 55.2 deg, intensity 21
- 57.3 deg, intensity 16
- 63.3 deg, intensity 25

Atomic structure:
a = 7.352 Å, b = 7.352 Å, c = 7.352 Å
α = 53.85°, β = 53.85°, γ = 53.85°
Sites, in units of the cell vectors:
K 0.000 0.500 0.500
K 0.500 0.000 0.500
K 0.500 0.500 0.000
Tm 0.000 0.000 0.500
Tm 0.000 0.500 0.000
Tm 0.500 0.000 0.000
Ru 0.500 0.500 0.500
O 0.227 0.227 0.227
O 0.247 0.713 0.713
O 0.287 0.287 0.753
O 0.287 0.753 0.287
O 0.713 0.247 0.713
O 0.713 0.713 0.247
O 0.753 0.287 0.287
O 0.773 0.773 0.773